# 1
Simulated powder X-ray diffraction pattern
Compound: Er2TiAg2S6
Radiation: CuKα
Structure: the GGA-PBE geometry in Alexandria
No peak broadening, texture or thermal motion is included.

```
data_Er2TiAg2S6
_chemical_formula_sum 'Er4 Ti2 Ag4 S12'
_space_group_name_H-M_alt 'C 1 2/m 1'
_space_group_IT_number 12
_cell_length_a 6.6600
_cell_length_b 11.3441
_cell_length_c 6.8696
_cell_angle_alpha 90.00
_cell_angle_beta 113.18
_cell_angle_gamma 90.00
loop_
_space_group_symop_operation_xyz
'x,y,z'
'-x,-y,-z'
'-x,y,-z'
'x,-y,z'
'x+1/2,y+1/2,z'
'-x+1/2,-y+1/2,-z'
'-x+1/2,y+1/2,-z'
'x+1/2,-y+1/2,z'
loop_
_atom_site_label
_atom_site_type_symbol
_atom_site_fract_x
_atom_site_fract_y
_atom_site_fract_z
Er1 Er 0.0000 0.1672 0.0000
Ti1 Ti 0.0000 0.5000 0.0000
Ag1 Ag 0.0000 0.3175 0.5000
S1 S 0.2093 0.5000 0.7720
S2 S 0.2473 0.3460 0.2270
```

Principal peaks in the range 5 to 70 degrees two-theta, by angle:
14.02°, I = 22.9; 15.62°, I = 31.6; 17.55°, I = 30.0; 28.26°, I = 21.3; 28.41°, I = 40.5; 29.17°, I = 19.8; 31.71°, I = 58.4; 33.78°, I = 100.0; 46.41°, I = 37.3; 47.60°, I = 34.5; 48.92°, I = 20.6; 58.79°, I = 16.3


# 2
Simulated powder X-ray diffraction pattern
Compound: Er3ZrAg3S8
Radiation: CuKα
Structure: the GGA-PBE geometry in Alexandria
No peak broadening, texture or thermal motion is included.

```
data_Er3ZrAg3S8
_chemical_formula_sum 'Er6 Zr2 Ag6 S16'
_space_group_name_H-M_alt 'C 1 2/m 1'
_space_group_IT_number 12
_cell_length_a 13.3758
_cell_length_b 7.8511
_cell_length_c 7.7834
_cell_angle_alpha 90.00
_cell_angle_beta 124.58
_cell_angle_gamma 90.00
loop_
_space_group_symop_operation_xyz
'x,y,z'
'-x,-y,-z'
'-x,y,-z'
'x,-y,z'
'x+1/2,y+1/2,z'
'-x+1/2,-y+1/2,-z'
'-x+1/2,y+1/2,-z'
'x+1/2,-y+1/2,z'
loop_
_atom_site_label
_atom_site_type_symbol
_atom_site_fract_x
_atom_site_fract_y
_atom_site_fract_z
Er1 Er 0.0000 0.0000 0.0000
Er2 Er 0.2500 0.2500 0.5000
Zr1 Zr 0.0000 0.5000 0.0000
Ag1 Ag 0.0000 0.5000 0.5000
Ag2 Ag 0.2500 0.2500 0.0000
S1 S 0.0035 0.2596 0.2353
S2 S 0.2368 0.5000 0.2456
S3 S 0.2465 0.0000 0.2551
```

Principal peaks in the range 5 to 70 degrees two-theta, by angle:
14.05°, I = 21.2; 16.06°, I = 19.2; 27.89°, I = 67.2; 28.31°, I = 22.0; 32.40°, I = 100.0; 32.52°, I = 49.5; 46.26°, I = 53.7; 46.69°, I = 17.1; 46.87°, I = 33.8; 54.88°, I = 10.9; 57.68°, I = 18.0; 67.83°, I = 10.8


# 3
Simulated powder X-ray diffraction pattern
Compound: ErZrAgS4
Radiation: CuKα
Structure: the GGA-PBE geometry in Alexandria
No peak broadening, texture or thermal motion is included.

```
data_ErZrAgS4
_chemical_formula_sum 'Er4 Zr4 Ag4 S16'
_space_group_name_H-M_alt 'I m m a'
_space_group_IT_number 74
_space_group_name_Hall '-I 2b 2'
_cell_length_a 7.6368
_cell_length_b 7.8891
_cell_length_c 11.0162
_cell_angle_alpha 90.00
_cell_angle_beta 90.00
_cell_angle_gamma 90.00
loop_
_atom_site_label
_atom_site_type_symbol
_atom_site_fract_x
_atom_site_fract_y
_atom_site_fract_z
Er1 Er 0.0000 0.0000 0.0000
Zr1 Zr 0.2500 0.2500 0.2500
Ag1 Ag 0.0000 0.2500 0.6268
S1 S 0.0000 0.0244 0.2473
S2 S 0.2398 0.2500 0.0168
```

Principal peaks in the range 5 to 70 degrees two-theta, by angle:
14.11°, I = 26.1; 22.88°, I = 27.2; 23.30°, I = 16.8; 26.71°, I = 100.0; 26.94°, I = 42.6; 27.18°, I = 39.9; 32.64°, I = 31.9; 42.56°, I = 26.9; 43.08°, I = 25.7; 46.02°, I = 18.8; 46.74°, I = 72.5; 47.63°, I = 17.6


# 4
Simulated powder X-ray diffraction pattern
Compound: ErAgSb
Radiation: CuKα
Structure: the GGA-PBE geometry in Alexandria
No peak broadening, texture or thermal motion is included.

```
data_ErAgSb
_chemical_formula_sum 'Er2 Ag2 Sb2'
_space_group_name_H-M_alt 'P 4/n m m'
_space_group_IT_number 129
_cell_length_a 4.2986
_cell_length_b 4.2986
_cell_length_c 7.7044
_cell_angle_alpha 90.00
_cell_angle_beta 90.00
_cell_angle_gamma 90.00
loop_
_space_group_symop_operation_xyz
'x,y,z'
'-x,-y,-z'
'-y+1/2,x,z'
'y+1/2,-x,-z'
'-x+1/2,-y+1/2,z'
'x+1/2,y+1/2,-z'
'y,-x+1/2,z'
'-y,x+1/2,-z'
'x+1/2,-y,-z'
'-x+1/2,y,z'
'-y,-x,-z'
'y,x,z'
'-x,y+1/2,-z'
'x,-y+1/2,z'
'y+1/2,x+1/2,-z'
'-y+1/2,-x+1/2,z'
loop_
_atom_site_label
_atom_site_type_symbol
_atom_site_fract_x
_atom_site_fract_y
_atom_site_fract_z
Er1 Er 0.2500 0.2500 0.1566
Ag1 Ag 0.2500 0.7500 0.5000
Sb1 Sb 0.2500 0.2500 0.7619
```

Principal peaks in the range 5 to 70 degrees two-theta, by angle:
29.38°, I = 33.2; 31.18°, I = 34.3; 31.64°, I = 83.6; 34.94°, I = 32.0; 37.70°, I = 100.0; 40.94°, I = 20.2; 42.04°, I = 66.7; 53.25°, I = 15.5; 55.77°, I = 32.8; 60.12°, I = 12.9; 60.96°, I = 21.8; 64.21°, I = 18.0